Diffraction record for LiLaTlPb. The X-ray powder pattern is calculated, not measured: it uses the PBE geometry in Alexandria and Cu Ka.

Cell and atoms:
```
LiLaTlPb
1.0
4.625 0.000 0.000
0.000 4.828 0.000
0.000 0.000 5.004
Li La Tl Pb
1 1 1 1
Direct
0.000 0.000 0.000 Li
0.000 0.500 0.500 La
0.500 0.500 0.000 Tl
0.500 0.000 0.500 Pb
```

Principal peaks in the range 2θ = 5–70°, by intensity:
| 2θ (°) | d [Å] | I/Imax |
| --- | --- | --- |
| 32.22 | 2.778 | 100.0 |
| 25.64 | 3.475 | 20.2 |
| 19.19 | 4.625 | 19.7 |
| 35.89 | 2.502 | 18.8 |
| 37.25 | 2.414 | 17.0 |
| 62.21 | 1.492 | 15.5 |
| 38.95 | 2.313 | 15.1 |
| 64.02 | 1.454 | 14.3 |
| 66.33 | 1.409 | 12.9 |
| 52.69 | 1.737 | 12.7 |
| 67.42 | 1.389 | 12.3 |
| 53.99 | 1.698 | 11.9 |